Entry 1:
For MgTe4Mo2WS2, the PBE geometry in the Materials Project gives the theoretical X-ray diffraction stick pattern in this record (λ = 1.5418 Å (Cu Kα)).
Intensities are scaled so that the largest is 100.

Top 10 peaks for 2θ from 10° to 90°, in order of rising 2θ:
(hkl)	two_theta	d [Å]	I/Imax
0 0 4	11.2	7.910	100.0
1 0 0	30.2	2.955	43.4
1 1 -2	30.8	2.904	14.4
1 0 4	32.3	2.768	14.6
1 1 6	34.8	2.578	53.6
1 0 7	36.3	2.473	54.3
1 1 -9	39.9	2.262	32.2
1 1 10	41.8	2.159	20.2
1 0 11	43.9	2.061	37.4
1 2 0	53.7	1.706	30.2

Structure:
a = 3.4117 Å, b = 3.4118 Å, c = 31.6384 Å
α = 90.00°, β = 90.00°, γ = 60.00°
Space group P1 (No. 1)
Symmetry-distinct sites (fractional):
1 Mg 0.0000 0.0000 0.0000
2 Te 0.0298 0.0078 0.2111
3 Te 0.0298 0.0078 0.3297
4 Te 0.0298 0.0078 0.6740
5 Te 0.0298 0.0078 0.7920
6 Mo 0.0299 0.0077 0.5017
7 Mo 0.6965 0.6744 0.7331
8 W 0.6965 0.6744 0.2703
9 S 0.6965 0.6744 0.4544
10 S 0.6965 0.6744 0.5490

Entry 2:
For MgTe4Mo2WS2, the PBE geometry in the Materials Project gives the theoretical X-ray diffraction stick pattern in this record (λ = 1.5418 Å (Cu Kα)).
Intensities are scaled so that the largest is 100.

Top 10 peaks for 2θ from 10° to 90°, in order of rising 2θ:
(hkl)	two_theta	d [Å]	I/Imax
0 0 5	11.5	7.713	61.2
1 1 0	30.3	2.954	100.0
1 1 6	33.6	2.666	21.6
2 0 -7	33.9	2.645	19.2
1 1 7	34.7	2.584	24.9
1 1 -10	38.0	2.365	21.0
1 1 10	38.7	2.325	22.2
1 1 -11	39.5	2.279	37.4
1 1 11	40.3	2.240	37.0
0 2 0	53.8	1.705	55.2

Structure:
a = 5.9112 Å, b = 3.4110 Å, c = 38.5899 Å
α = 90.00°, β = 92.03°, γ = 90.00°
Space group Cm (No. 8)
Symmetry-distinct sites (fractional):
1 Mg 0.0000 0.0000 0.0000
2 Te 0.0071 0.0000 0.1773
3 Te 0.0081 0.0000 0.7095
4 Te 0.4851 0.5000 0.0804
5 Te 0.4864 0.5000 0.6127
6 Mo 0.3295 0.0000 0.1288
7 Mo 0.3305 0.0000 0.6611
8 W 0.0091 0.0000 0.8817
9 S 0.3332 0.0000 0.8430
10 S 0.3516 0.0000 0.9207

Entry 3:
For Mg2Ti3MoS8, the PBE geometry in the Materials Project gives the theoretical X-ray diffraction stick pattern in this record (λ = 1.5418 Å (Cu Kα)).
Intensities are scaled so that the largest is 100.

Top 10 peaks for 2θ from 10° to 90°, in order of rising 2θ:
(hkl)	two_theta	d [Å]	I/Imax
2 0 -1	14.8	5.974	77.3
3 1 -2	28.6	3.123	82.2
4 0 0	34.7	2.589	100.0
4 2 -3	45.5	1.995	11.9
6 0 -1	45.6	1.991	31.7
4 0 -4	49.7	1.836	16.1
6 2 -2	49.8	1.830	63.8
0 4 0	49.9	1.826	15.9
8 0 0	73.1	1.294	13.6
8 4 -4	83.5	1.158	12.0

Structure:
a = 12.6836 Å, b = 7.3048 Å, c = 7.3429 Å
α = 90.00°, β = 125.33°, γ = 90.00°
Space group C2/m (No. 12)
Symmetry-distinct sites (fractional):
1 Mg 0.1252 0.0000 0.3760
2 Ti 0.0000 0.5000 0.0000
3 Ti 0.2500 0.2500 0.0000
4 Mo 0.0000 0.5000 0.5000
5 S 0.0100 0.2683 0.7615
6 S 0.2406 0.5000 0.2216
7 S 0.2415 0.5000 0.7616

Entry 4:
For Mg2TiMo3S8, the PBE geometry in the Materials Project gives the theoretical X-ray diffraction stick pattern in this record (λ = 1.5418 Å (Cu Kα)).
Intensities are scaled so that the largest is 100.

Top 10 peaks for 2θ from 10° to 90°, in order of rising 2θ:
(hkl)	two_theta	d [Å]	I/Imax
1 0 1	14.5	6.098	52.4
0 0 3	15.3	5.802	46.7
0 2 1	27.9	3.200	44.4
1 1 3	28.3	3.155	33.0
0 1 5	29.1	3.070	17.1
0 2 4	34.4	2.607	100.0
1 2 5	45.1	2.009	17.6
2 2 0	48.4	1.880	48.9
2 0 8	50.5	1.809	42.6
4 0 4	60.8	1.525	16.2

Structure:
a = 7.5181 Å, b = 7.5181 Å, c = 17.4057 Å
α = 90.00°, β = 90.00°, γ = 120.00°
Space group R-3m (No. 166, hexagonal axes)
Symmetry-distinct sites (fractional):
1 Mg 0.0000 0.0000 0.1225
2 Ti 0.0000 0.0000 0.5000
3 Mo 0.0000 0.5000 0.0000
4 S 0.0000 0.0000 0.2611
5 S 0.0258 0.5129 0.2530

Entry 5:
For MgTiMoS4, the PBE geometry in the Materials Project gives the theoretical X-ray diffraction stick pattern in this record (λ = 1.5418 Å (Cu Kα)).
Intensities are scaled so that the largest is 100.

Top 10 peaks for 2θ from 10° to 90°, in order of rising 2θ:
(hkl)	two_theta	d [Å]	I/Imax
0 1 1	14.6	6.067	24.6
1 0 1	15.0	5.914	100.0
1 2 1	28.2	3.168	62.8
1 0 3	28.8	3.103	52.3
2 2 0	34.5	2.601	91.9
0 0 4	34.8	2.578	45.2
3 2 1	45.6	1.988	32.8
0 4 0	48.5	1.876	22.8
2 2 4	49.8	1.831	84.9
4 0 0	50.6	1.805	20.1

Structure:
a = 7.2199 Å, b = 7.5024 Å, c = 10.3113 Å
α = 90.00°, β = 90.00°, γ = 90.00°
Space group Imma (No. 74)
Symmetry-distinct sites (fractional):
1 Mg 0.0000 0.2500 0.1284
2 Ti 0.2500 0.2500 0.7500
3 Mo 0.0000 0.0000 0.5000
4 S 0.0000 0.0208 0.7430
5 S 0.2297 0.2500 0.5098

Entry 6:
For Mg2VMo3S8, the PBE geometry in the Materials Project gives the theoretical X-ray diffraction stick pattern in this record (λ = 1.5418 Å (Cu Kα)).
Intensities are scaled so that the largest is 100.

Top 10 peaks for 2θ from 10° to 90°, in order of rising 2θ:
(hkl)	two_theta	d [Å]	I/Imax
2 0 -1	14.7	6.039	100.0
0 2 1	28.2	3.162	72.4
3 1 -2	28.4	3.148	16.8
4 0 0	34.2	2.618	95.8
3 3 -2	44.9	2.018	22.6
4 2 -3	45.0	2.013	16.4
2 2 2	49.1	1.856	43.5
6 2 -2	49.3	1.847	43.4
4 2 1	51.5	1.774	13.7
4 4 0	61.2	1.514	14.6

Structure:
a = 12.7691 Å, b = 7.4271 Å, c = 7.3904 Å
α = 90.00°, β = 124.97°, γ = 90.00°
Space group C2/m (No. 12)
Symmetry-distinct sites (fractional):
1 Mg 0.1234 0.0000 0.3765
2 V 0.0000 0.5000 0.0000
3 Mo 0.0000 0.5000 0.5000
4 Mo 0.2500 0.2500 0.0000
5 S 0.0104 0.2738 0.7639
6 S 0.2362 0.5000 0.2159
7 S 0.2391 0.5000 0.7604

Entry 7:
For Mg2V3MoS8, the PBE geometry in the Materials Project gives the theoretical X-ray diffraction stick pattern in this record (λ = 1.5418 Å (Cu Kα)).
Intensities are scaled so that the largest is 100.

Top 10 peaks for 2θ from 10° to 90°, in order of rising 2θ:
(hkl)	two_theta	d [Å]	I/Imax
1 0 1	14.9	5.929	80.4
1 1 0	24.6	3.622	13.3
0 1 5	28.4	3.142	25.5
1 1 3	28.7	3.107	52.1
0 2 4	34.8	2.580	100.0
1 2 5	45.7	1.985	25.4
0 3 3	45.9	1.976	15.7
2 0 8	49.6	1.838	48.0
2 2 0	50.4	1.811	46.3
4 0 4	62.7	1.482	14.2

Structure:
a = 7.2431 Å, b = 7.2431 Å, c = 18.1485 Å
α = 90.00°, β = 90.00°, γ = 120.00°
Space group R-3m (No. 166, hexagonal axes)
Symmetry-distinct sites (fractional):
1 Mg 0.0000 0.0000 0.1265
2 V 0.0000 0.5000 0.0000
3 Mo 0.0000 0.0000 0.5000
4 S 0.0000 0.0000 0.2615
5 S 0.0286 0.5143 0.2549

Entry 8:
For MgVMoS4, the PBE geometry in the Materials Project gives the theoretical X-ray diffraction stick pattern in this record (λ = 1.5418 Å (Cu Kα)).
Intensities are scaled so that the largest is 100.

Top 10 peaks for 2θ from 10° to 90°, in order of rising 2θ:
(hkl)	two_theta	d [Å]	I/Imax
1 1 0	14.7	6.040	29.6
0 0 1	14.8	5.966	100.0
0 2 1	28.4	3.148	70.4
2 0 1	28.5	3.134	30.4
4 0 0	34.4	2.604	44.9
2 2 -2	34.5	2.597	89.2
4 0 1	45.2	2.005	33.4
2 2 -3	45.5	1.992	28.3
0 4 0	49.2	1.853	21.0
2 2 2	49.6	1.839	82.6

Structure:
a = 12.7000 Å, b = 7.4128 Å, c = 7.2771 Å
α = 90.00°, β = 124.89°, γ = 90.00°
Space group C2/m (No. 12)
Symmetry-distinct sites (fractional):
1 Mg 0.1224 0.0000 0.3725
2 V 0.0000 0.5000 0.0000
3 V 0.0000 0.5000 0.5000
4 Mo 0.2500 0.2500 0.0000
5 S 0.0102 0.2741 0.7603
6 S 0.2372 0.5000 0.2177
7 S 0.2372 0.5000 0.7568

Entry 9:
For MgMoW2S6, the PBE geometry in the Materials Project gives the theoretical X-ray diffraction stick pattern in this record (λ = 1.5418 Å (Cu Kα)).
Intensities are scaled so that the largest is 100.

Top 10 peaks for 2θ from 10° to 90°, in order of rising 2θ:
(hkl)	two_theta	d [Å]	I/Imax
0 0 5	12.0	7.350	100.0
1 0 0	32.4	2.760	39.2
1 0 2	32.8	2.732	33.8
0 1 4	33.9	2.646	40.0
1 0 6	35.6	2.519	49.0
0 1 7	36.8	2.445	46.0
1 0 10	40.9	2.208	36.7
1 0 11	42.5	2.129	54.1
1 0 15	49.7	1.833	26.7
1 1 0	57.8	1.596	25.9

Structure:
a = 3.1906 Å, b = 3.1906 Å, c = 36.7493 Å
α = 90.00°, β = 90.00°, γ = 120.00°
Space group P3m1 (No. 156)
Symmetry-distinct sites (fractional):
1 Mg 0.0000 0.0000 0.0000
2 Mo 0.3333 0.6667 0.8837
3 W 0.3333 0.6667 0.3543
4 W 0.6667 0.3333 0.1326
5 S 0.3333 0.6667 0.0896
6 S 0.3333 0.6667 0.1754
7 S 0.6667 0.3333 0.3116
8 S 0.6667 0.3333 0.3971
9 S 0.6667 0.3333 0.8414
10 S 0.6667 0.3333 0.9268

Entry 10:
For MgMoW2S6, the PBE geometry in the Materials Project gives the theoretical X-ray diffraction stick pattern in this record (λ = 1.5418 Å (Cu Kα)).
Intensities are scaled so that the largest is 100.

Top 10 peaks for 2θ from 10° to 90°, in order of rising 2θ:
(hkl)	two_theta	d [Å]	I/Imax
0 0 5	12.0	7.360	100.0
0 0 8	19.3	4.600	43.6
1 0 0	32.5	2.759	52.6
0 1 2	32.8	2.731	46.8
1 0 4	33.9	2.645	54.5
0 1 6	35.7	2.518	74.1
0 1 7	36.8	2.445	48.2
0 1 10	40.9	2.209	63.2
0 1 11	42.4	2.130	66.0
1 1 0	57.9	1.594	42.3

Structure:
a = 3.1887 Å, b = 3.1887 Å, c = 36.8020 Å
α = 90.00°, β = 90.00°, γ = 120.00°
Space group P3m1 (No. 156)
Symmetry-distinct sites (fractional):
1 Mg 0.0000 0.0000 0.0000
2 Mo 0.3333 0.6667 0.6523
3 W 0.3333 0.6667 0.1241
4 W 0.6667 0.3333 0.8744
5 S 0.3333 0.6667 0.8318
6 S 0.3333 0.6667 0.9174
7 S 0.6667 0.3333 0.0811
8 S 0.6667 0.3333 0.1668
9 S 0.6667 0.3333 0.6097
10 S 0.6667 0.3333 0.6949

Entry 11:
For MgMoW3S8, the PBE geometry in the Materials Project gives the theoretical X-ray diffraction stick pattern in this record (λ = 1.5418 Å (Cu Kα)).
Intensities are scaled so that the largest is 100.

Top 10 peaks for 2θ from 10° to 90°, in order of rising 2θ:
(hkl)	two_theta	d [Å]	I/Imax
0 0 5	10.1	8.774	100.0
0 0 6	12.1	7.312	31.3
1 0 0	32.4	2.761	10.6
1 0 3	33.0	2.715	11.1
1 0 5	34.0	2.635	10.6
1 0 8	36.4	2.467	21.9
1 0 13	42.3	2.138	18.8
1 0 14	43.7	2.072	8.8
1 1 0	57.8	1.595	8.8
1 1 5	58.8	1.569	7.7

Structure:
a = 3.1899 Å, b = 3.1899 Å, c = 43.8691 Å
α = 90.00°, β = 90.00°, γ = 120.00°
Space group P3m1 (No. 156)
Symmetry-distinct sites (fractional):
1 Mg 0.0000 0.0000 0.0000
2 Mo 0.3333 0.6667 0.9017
3 W 0.3333 0.6667 0.2853
4 W 0.6667 0.3333 0.1055
5 W 0.6667 0.3333 0.4734
6 S 0.3333 0.6667 0.0694
7 S 0.3333 0.6667 0.1414
8 S 0.3333 0.6667 0.4376
9 S 0.3333 0.6667 0.5093
10 S 0.6667 0.3333 0.2495
11 S 0.6667 0.3333 0.3212
12 S 0.6667 0.3333 0.8662
13 S 0.6667 0.3333 0.9379

Entry 12:
For Mg2MoW3S8, the PBE geometry in the Materials Project gives the theoretical X-ray diffraction stick pattern in this record (λ = 1.5418 Å (Cu Kα)).
Intensities are scaled so that the largest is 100.

Top 10 peaks for 2θ from 10° to 90°, in order of rising 2θ:
(hkl)	two_theta	d [Å]	I/Imax
0 0 1	14.9	5.934	100.0
0 1 0	15.3	5.776	95.4
-1 2 1	29.5	3.031	34.4
-2 2 1	29.7	3.009	49.6
0 2 0	31.0	2.888	26.4
0 2 -2	35.7	2.518	91.4
2 0 -3	38.9	2.318	23.0
2 1 -1	40.4	2.234	26.1
3 0 -1	47.2	1.925	29.1
2 -4 0	51.9	1.763	34.3

Structure:
a = 7.0480 Å, b = 7.0499 Å, c = 7.1867 Å
α = 90.03°, β = 119.25°, γ = 119.95°
Space group P1 (No. 1)
Symmetry-distinct sites (fractional):
1 Mg 0.0000 0.0000 0.0000
2 Mg 0.4828 0.2413 0.7259
3 Mo 0.3650 0.6822 0.0503
4 W 0.2293 0.6147 0.4177
5 W 0.8003 0.1853 0.4182
6 W 0.8003 0.6150 0.4181
7 S 0.2791 0.4289 0.7113
8 S 0.2787 0.8504 0.7113
9 S 0.3154 0.9174 0.2353
10 S 0.3156 0.3980 0.2353
11 S 0.7348 0.8675 0.6063
12 S 0.7607 0.3799 0.1440
13 S 0.8332 0.9164 0.2335
14 S 0.8598 0.4303 0.7127

Entry 13:
For MgMoW2S6, the PBE geometry in the Materials Project gives the theoretical X-ray diffraction stick pattern in this record (λ = 1.5418 Å (Cu Kα)).
Intensities are scaled so that the largest is 100.

Top 10 peaks for 2θ from 10° to 90°, in order of rising 2θ:
(hkl)	two_theta	d [Å]	I/Imax
0 0 4	12.2	7.278	100.0
0 0 5	15.2	5.823	21.0
1 1 0	32.4	2.763	10.9
2 0 -2	33.0	2.714	17.1
2 0 -6	37.5	2.401	26.5
1 1 -7	39.1	2.301	26.7
2 0 -10	45.2	2.004	11.6
1 1 -11	47.6	1.911	21.8
0 2 0	57.8	1.594	13.4
0 2 4	59.3	1.558	10.1

Structure:
a = 5.5256 Å, b = 3.1902 Å, c = 29.1129 Å
α = 90.00°, β = 90.00°, γ = 90.00°
Space group Cm (No. 8)
Symmetry-distinct sites (fractional):
1 Mg 0.0000 0.0000 0.0000
2 Mo 0.1805 0.5000 0.7310
3 W 0.1805 0.5000 0.2683
4 W 0.3472 0.0000 0.4996
5 S 0.1806 0.5000 0.4457
6 S 0.1806 0.5000 0.5536
7 S 0.3472 0.0000 0.2143
8 S 0.3472 0.0000 0.3223
9 S 0.3472 0.0000 0.6774
10 S 0.3472 0.0000 0.7846